[1]
Structure and theoretical powder diffractogram of FeMoO4 (a crystal structure in the Materials Project, relaxed with GGA+U; a wavelength of 1.5418 Å).
Lines closer than 0.1° are merged.

Structural model:
a = 6.7693 Å, b = 6.7693 Å, c = 7.8059 Å
α = 107.46°, β = 107.46°, γ = 85.00°
Fractional positions:
Fe: 0.0000 0.0000 0.0000
Fe: 0.6073 0.3927 0.0000
Fe: 0.6099 0.0022 0.6548
Fe: 0.9978 0.3901 0.3452
Mo: 0.0162 0.4088 0.8582
Mo: 0.0173 0.9827 0.5000
Mo: 0.5905 0.4095 0.5000
Mo: 0.5912 0.9838 0.1418
O: 0.2878 0.0145 0.5720
O: 0.2877 0.3794 0.9170
O: 0.3195 0.0130 0.0825
O: 0.3200 0.3778 0.4288
O: 0.6206 0.7123 0.0830
O: 0.6222 0.6800 0.5712
O: 0.6464 0.3367 0.2606
O: 0.6532 0.0447 0.4155
O: 0.6534 0.0467 0.9386
O: 0.6633 0.3536 0.7394
O: 0.9447 0.0389 0.2609
O: 0.9533 0.3466 0.0614
O: 0.9553 0.3468 0.5845
O: 0.9611 0.0553 0.7391
O: 0.9855 0.7122 0.4280
O: 0.9870 0.6805 0.9175

Most intense lines, 10 to 90 degrees two-theta, by intensity:
two_theta	Rel. int.
27.6	100
13.7	80
42.0	49
31.5	48
24.8	33
55.3	29
46.5	28
31.8	24
32.0	22
25.0	17

=====

[2]
Structure and theoretical powder diffractogram of Fe2MoO4 (a crystal structure in the Materials Project, relaxed with GGA+U; a wavelength of 1.5418 Å).
Lines closer than 0.1° are merged.

Structural model:
a = 6.1892 Å, b = 6.1892 Å, c = 6.1892 Å
α = 121.09°, β = 118.40°, γ = 90.46°
Fractional positions:
Fe: 0.0000 0.0000 0.5000
Fe: 0.0000 0.5000 0.0000
Fe: 0.3825 0.1325 0.2500
Fe: 0.6175 0.8675 0.7500
Mo: 0.0000 0.5000 0.5000
Mo: 0.5000 0.5000 0.0000
O: 0.2436 0.7491 0.4945
O: 0.2454 0.2509 0.9945
O: 0.2486 0.2543 0.5057
O: 0.2486 0.7430 0.9943
O: 0.7514 0.2570 0.0057
O: 0.7514 0.7457 0.4943
O: 0.7546 0.7491 0.0055
O: 0.7564 0.2509 0.5055

Most intense lines, 10 to 90 degrees two-theta, by intensity:
two_theta	Rel. int.
34.2	100
33.5	94
59.8	63
17.8	43
41.1	37
54.7	33
28.9	26
33.9	22
35.0	21
41.4	18

=====

[3]
Structure and theoretical powder diffractogram of FeMo2O10 (a crystal structure in the Materials Project, relaxed with GGA+U; a wavelength of 1.5418 Å).
Lines closer than 0.1° are merged.

Structural model:
a = 6.8368 Å, b = 7.1948 Å, c = 10.2347 Å
α = 81.37°, β = 76.23°, γ = 76.10°
Fractional positions:
Fe: 0.0652 0.1033 0.0896
Fe: 0.9348 0.8967 0.9104
Mo: 0.1528 0.1884 0.5853
Mo: 0.2910 0.4538 0.8073
Mo: 0.7090 0.5462 0.1927
Mo: 0.8472 0.8116 0.4147
O: 0.0068 0.8906 0.2659
O: 0.0599 0.7056 0.5321
O: 0.1029 0.3780 0.4069
O: 0.1238 0.6893 0.8038
O: 0.1651 0.9075 0.9763
O: 0.1886 0.3102 0.9520
O: 0.2958 0.0767 0.1605
O: 0.3018 0.9863 0.5165
O: 0.3086 0.3301 0.6472
O: 0.4659 0.5266 0.1865
O: 0.5341 0.4734 0.8135
O: 0.6914 0.6699 0.3528
O: 0.6982 0.0137 0.4835
O: 0.7042 0.9233 0.8395
O: 0.8114 0.6898 0.0480
O: 0.8349 0.0925 0.0237
O: 0.8762 0.3107 0.1962
O: 0.8971 0.6220 0.5931
O: 0.9401 0.2944 0.4679
O: 0.9932 0.1094 0.7341

Most intense lines, 10 to 90 degrees two-theta, by intensity:
two_theta	Rel. int.
20.6	100
21.2	92
23.1	85
13.6	83
20.8	73
17.9	59
29.9	54
14.7	47
29.0	27
27.5	26

=====

[4]
Structure and theoretical powder diffractogram of Sr4FeMoO8 (a crystal structure in the Materials Project, relaxed with GGA+U; a wavelength of 1.5418 Å).
Lines closer than 0.1° are merged.

Structural model:
a = 6.9908 Å, b = 6.9908 Å, c = 5.6619 Å
α = 90.00°, β = 90.00°, γ = 132.85°
Fractional positions:
Sr: 0.1462 0.8538 0.0000
Sr: 0.3518 0.6482 0.5000
Sr: 0.6482 0.3518 0.5000
Sr: 0.8538 0.1462 0.0000
Fe: 0.0000 0.0000 0.5000
Mo: 0.5000 0.5000 0.0000
O: 0.1612 0.8388 0.5000
O: 0.2543 0.2543 0.2491
O: 0.2543 0.2543 0.7509
O: 0.3387 0.6613 0.0000
O: 0.6613 0.3387 0.0000
O: 0.7457 0.7457 0.2491
O: 0.7457 0.7457 0.7509
O: 0.8388 0.1612 0.5000

Most intense lines, 10 to 90 degrees two-theta, by intensity:
two_theta	Rel. int.
30.7	100
45.6	37
31.6	34
32.0	34
63.9	21
55.7	19
56.2	18
42.3	17
13.8	11
41.9	11

=====

[5]
Structure and theoretical powder diffractogram of Sr2FeMoO6 (a crystal structure in the Materials Project, relaxed with GGA+U; a wavelength of 1.5418 Å).
Lines closer than 0.1° are merged.

Structural model:
a = 5.6447 Å, b = 5.6447 Å, c = 5.6447 Å
α = 119.28°, β = 91.24°, γ = 119.28°
Fractional positions:
Sr: 0.2500 0.0000 0.2500
Sr: 0.7500 0.0000 0.7500
Fe: 0.5013 0.5013 0.0000
Mo: 0.9994 0.4994 0.5000
O: 0.2440 0.5000 0.7441
O: 0.2506 0.0012 0.7506
O: 0.2506 0.5000 0.2494
O: 0.7491 0.4998 0.7506
O: 0.7491 0.9985 0.2494
O: 0.7559 0.5000 0.2559

Most intense lines, 10 to 90 degrees two-theta, by intensity:
two_theta	Rel. int.
31.7	100
31.4	51
56.0	39
44.9	37
66.2	21
56.7	19
46.0	17
65.4	11
83.6	11
39.0	9